No. 1
Structure and simulated X-ray powder pattern of Dy4Th3Sc (a crystal structure in Alexandria, relaxed with PBE; Cu Kα, 1.54184 Å).
No peak broadening, texture or thermal motion is included.

The 6 most intense peaks (10° ≤ 2θ ≤ 80°), sorted by position:
Position (°2θ)	intensity
30.18	536
30.87	625
32.36	1000
33.19	997
34.37	266
43.71	397

a b c (Å): 15.5146 5.7937 5.9259
angles (deg): 90.00 110.40 90.00
Space group C2/m (No. 12)
Unique sites:
Dy 0.1289 0.0000 0.1804 [4 per cell]
Dy 0.2489 0.0000 0.7952 [4 per cell]
Th 0.0000 0.5000 0.0000 [2 per cell]
Th 0.1168 0.5000 0.5933 [4 per cell]
Sc 0.0000 0.0000 0.5000 [2 per cell]

---

No. 2
Structure and simulated X-ray powder pattern of Dy6Th2Sc (a crystal structure in Alexandria, relaxed with PBE; Cu Kα, 1.54184 Å).
No peak broadening, texture or thermal motion is included.

The 6 most intense peaks (10° ≤ 2θ ≤ 80°), sorted by position:
Position (°2θ)	intensity
29.22	438
30.98	788
32.37	412
34.02	1000
51.81	358
61.58	352

a b c (Å): 3.5294 3.5294 26.0069
angles (deg): 90.00 90.00 120.00
Space group P-6m2 (No. 187)
Unique sites:
Dy 0.0000 0.0000 0.0641 [2 per cell]
Dy 0.0000 0.0000 0.2869 [2 per cell]
Dy 0.3333 0.6667 0.3976 [2 per cell]
Th 0.3333 0.6667 0.1734 [2 per cell]
Sc 0.0000 0.0000 0.5000 [1 per cell]

---

No. 3
Structure and simulated X-ray powder pattern of Dy7ThSc3 (a crystal structure in Alexandria, relaxed with PBE; Cu Kα, 1.54184 Å).
No peak broadening, texture or thermal motion is included.

The 6 most intense peaks (10° ≤ 2θ ≤ 80°), sorted by position:
Position (°2θ)	intensity
26.79	307
29.30	420
31.28	468
32.61	1000
33.37	874
33.85	661

a b c (Å): 6.6581 18.1332 10.9896
angles (deg): 90.00 91.53 90.00
Space group C2/m (No. 12)
Unique sites:
Dy 0.2378 0.0000 0.2474 [4 per cell]
Dy 0.2412 0.4081 0.2513 [8 per cell]
Dy 0.2484 0.3375 0.5385 [8 per cell]
Dy 0.2492 0.3376 0.9631 [8 per cell]
Th 0.0000 0.0000 0.5000 [2 per cell]
Th 0.0000 0.5000 0.0000 [2 per cell]
Sc 0.0000 0.0000 0.0000 [2 per cell]
Sc 0.0000 0.5000 0.5000 [2 per cell]
Sc 0.0019 0.2477 0.7504 [8 per cell]